Theoretical powder diffraction line list of BaUNiS4 for Cu Kα, from a cell relaxed with PBE.
Peak positions follow from Bragg's law for the DFT cell and can differ from measured ones.

Most intense lines, 10° ≤ 2θ ≤ 90°, by angle:
2θ/deg	I (rel.)
10.83	72
20.95	100
26.47	44
26.91	46
30.00	55
31.07	36
33.54	66
34.61	51
42.24	33
42.64	46

```
data_BaUNiS4
_chemical_formula_sum 'Ba2 U2 Ni2 S8'
_symmetry_space_group_name_H-M 'P 1 21/m 1'
_symmetry_Int_Tables_number 11
_cell_length_a 6.335
_cell_length_b 5.957
_cell_length_c 8.566
_cell_angle_alpha 90.00
_cell_angle_beta 107.57
_cell_angle_gamma 90.00
loop_
_symmetry_equiv_pos_as_xyz
'x,y,z'
'-x,-y,-z'
'-x,y+1/2,-z'
'x,-y+1/2,z'
loop_
_atom_site_label
_atom_site_type_symbol
_atom_site_fract_x
_atom_site_fract_y
_atom_site_fract_z
Ba1 Ba 0.247 0.250 0.442
U1 U 0.250 0.250 0.944
Ni1 Ni 0.274 0.750 0.162
S1 S 0.063 0.750 0.911
S2 S 0.074 0.750 0.340
S3 S 0.476 0.515 0.788
```

---

Theoretical powder diffraction line list of BaNiW2S8 for Cu Kα, from a cell relaxed with PBE.
Peak positions follow from Bragg's law for the DFT cell and can differ from measured ones.

Most intense lines, 10° ≤ 2θ ≤ 90°, by angle:
2θ/deg	I (rel.)
18.08	19
21.49	100
29.30	46
31.81	33
36.63	26
43.79	15
47.57	25
50.95	32
51.96	22
53.56	16

```
data_BaNiW2S8
_chemical_formula_sum 'Ba3 Ni3 W6 S24'
_symmetry_space_group_name_H-M 'R -3'
_symmetry_Int_Tables_number 148
_symmetry_space_group_name_Hall '-R 3'
_cell_length_a 6.0967
_cell_length_b 6.0967
_cell_length_c 26.5910
_cell_angle_alpha 90.00
_cell_angle_beta 90.00
_cell_angle_gamma 120.00
loop_
_atom_site_label
_atom_site_type_symbol
_atom_site_fract_x
_atom_site_fract_y
_atom_site_fract_z
Ba1 Ba 0.0000 0.0000 0.0000
Ni1 Ni 0.0000 0.0000 0.5000
W1 W 0.0000 0.0000 0.2454
S1 S 0.0000 0.0000 0.3285
S2 S 0.0057 0.3204 0.5537
```

---

Theoretical powder diffraction line list of Ba2Ni2Sb for Cu Kα, from a cell relaxed with PBE.
Peak positions follow from Bragg's law for the DFT cell and can differ from measured ones.

Most intense lines, 10° ≤ 2θ ≤ 90°, by angle:
2θ/deg	I (rel.)
30.49	100
32.83	99
34.04	23
37.84	34
38.21	35
50.52	16
54.32	17
54.87	24
55.82	16
67.02	17

```
data_Ba2Ni2Sb
_chemical_formula_sum 'Ba4 Ni4 Sb2'
_symmetry_space_group_name_H-M 'P 4/m b m'
_symmetry_Int_Tables_number 127
_symmetry_space_group_name_Hall '-P 4 2ab'
_cell_length_a 7.449
_cell_length_b 7.449
_cell_length_c 4.755
_cell_angle_alpha 90.00
_cell_angle_beta 90.00
_cell_angle_gamma 90.00
loop_
_atom_site_label
_atom_site_type_symbol
_atom_site_fract_x
_atom_site_fract_y
_atom_site_fract_z
Ba1 Ba 0.187 0.313 0.000
Ni1 Ni 0.112 0.612 0.500
Sb1 Sb 0.000 0.000 0.500
```

---

Theoretical powder diffraction line list of BaNiSe for Cu Kα, from a cell relaxed with PBE.
Peak positions follow from Bragg's law for the DFT cell and can differ from measured ones.

Most intense lines, 10° ≤ 2θ ≤ 90°, by angle:
2θ/deg	I (rel.)
23.28	38
25.84	42
26.87	57
27.60	38
27.91	42
31.60	70
32.66	100
37.39	75
38.47	67
44.45	43

```
data_BaNiSe
_chemical_formula_sum 'Ba4 Ni4 Se4'
_symmetry_space_group_name_H-M 'C 1 m 1'
_symmetry_Int_Tables_number 8
_cell_length_a 11.491
_cell_length_b 4.077
_cell_length_c 6.859
_cell_angle_alpha 90.00
_cell_angle_beta 104.67
_cell_angle_gamma 90.00
loop_
_symmetry_equiv_pos_as_xyz
'x,y,z'
'x,-y,z'
'x+1/2,y+1/2,z'
'x+1/2,-y+1/2,z'
loop_
_atom_site_label
_atom_site_type_symbol
_atom_site_fract_x
_atom_site_fract_y
_atom_site_fract_z
Ba1 Ba 0.000 0.000 0.000
Ba2 Ba 0.161 0.500 0.547
Ni1 Ni 0.331 0.000 0.246
Ni2 Ni 0.417 0.500 0.444
Se1 Se 0.235 0.500 0.098
Se2 Se 0.397 0.000 0.619
```

---

Theoretical powder diffraction line list of BaU2Ni2Se6 for Cu Kα, from a cell relaxed with PBE.
Peak positions follow from Bragg's law for the DFT cell and can differ from measured ones.

Most intense lines, 10° ≤ 2θ ≤ 90°, by angle:
2θ/deg	I (rel.)
14.61	100
23.89	20
27.28	51
27.85	47
28.17	77
36.68	23
37.33	29
37.89	25
38.70	36
41.94	25

```
data_BaU2Ni2Se6
_chemical_formula_sum 'Ba1 U2 Ni2 Se6'
_symmetry_space_group_name_H-M 'P -1'
_symmetry_Int_Tables_number 2
_cell_length_a 7.312
_cell_length_b 7.411
_cell_length_c 7.603
_cell_angle_alpha 118.09
_cell_angle_beta 90.38
_cell_angle_gamma 119.20
loop_
_symmetry_equiv_pos_as_xyz
'x,y,z'
'-x,-y,-z'
loop_
_atom_site_label
_atom_site_type_symbol
_atom_site_fract_x
_atom_site_fract_y
_atom_site_fract_z
Ba1 Ba 0.000 0.000 0.000
U1 U 0.341 0.329 0.666
Ni1 Ni 0.332 0.895 0.351
Se1 Se 0.085 0.830 0.542
Se2 Se 0.285 0.540 0.065
Se3 Se 0.470 0.218 0.299
```

---

Theoretical powder diffraction line list of BaSmNi for Cu Kα, from a cell relaxed with PBE.
Peak positions follow from Bragg's law for the DFT cell and can differ from measured ones.

Most intense lines, 10° ≤ 2θ ≤ 90°, by angle:
2θ/deg	I (rel.)
24.52	26
25.75	50
26.49	40
31.80	100
40.56	47
45.41	42
52.28	20
56.50	19
70.05	18
75.29	16

```
data_BaSmNi
_chemical_formula_sum 'Ba2 Sm2 Ni2'
_symmetry_space_group_name_H-M 'P -6 m 2'
_symmetry_Int_Tables_number 187
_symmetry_space_group_name_Hall 'P -6 2'
_cell_length_a 3.9944
_cell_length_b 3.9944
_cell_length_c 14.5195
_cell_angle_alpha 90.00
_cell_angle_beta 90.00
_cell_angle_gamma 120.00
loop_
_atom_site_label
_atom_site_type_symbol
_atom_site_fract_x
_atom_site_fract_y
_atom_site_fract_z
Ba1 Ba 0.0000 0.0000 0.1375
Sm1 Sm 0.3333 0.6667 0.3845
Ni1 Ni 0.0000 0.0000 0.5000
Ni2 Ni 0.3333 0.6667 0.0000
```

---

Theoretical powder diffraction line list of Ba2Ni2Sn for Cu Kα, from a cell relaxed with PBE.
Peak positions follow from Bragg's law for the DFT cell and can differ from measured ones.

Most intense lines, 10° ≤ 2θ ≤ 90°, by angle:
2θ/deg	I (rel.)
23.34	39
23.93	44
27.41	29
27.76	38
31.61	100
40.64	85
41.73	27
49.72	34
52.38	24
56.00	41

```
data_Ba2Ni2Sn
_chemical_formula_sum 'Ba6 Ni6 Sn3'
_symmetry_space_group_name_H-M 'R -3 m'
_symmetry_Int_Tables_number 166
_symmetry_space_group_name_Hall '-R 3 2"'
_cell_length_a 4.4395
_cell_length_b 4.4395
_cell_length_c 29.2809
_cell_angle_alpha 90.00
_cell_angle_beta 90.00
_cell_angle_gamma 120.00
loop_
_atom_site_label
_atom_site_type_symbol
_atom_site_fract_x
_atom_site_fract_y
_atom_site_fract_z
Ba1 Ba 0.0000 0.0000 0.0765
Ni1 Ni 0.0000 0.0000 0.1816
Sn1 Sn 0.0000 0.0000 0.5000
```

---

Theoretical powder diffraction line list of Ba3SrNi for Cu Kα, from a cell relaxed with PBE.
Peak positions follow from Bragg's law for the DFT cell and can differ from measured ones.

Most intense lines, 10° ≤ 2θ ≤ 90°, by angle:
2θ/deg	I (rel.)
13.15	22
24.42	85
24.47	85
27.74	53
28.57	100
40.18	39
40.31	37
47.15	20
48.20	39
50.15	29

```
data_Ba3SrNi
_chemical_formula_sum 'Ba12 Sr4 Ni4'
_symmetry_space_group_name_H-M 'C 1 c 1'
_symmetry_Int_Tables_number 9
_cell_length_a 8.851
_cell_length_b 17.649
_cell_length_c 7.791
_cell_angle_alpha 90.00
_cell_angle_beta 124.37
_cell_angle_gamma 90.00
loop_
_symmetry_equiv_pos_as_xyz
'x,y,z'
'x,-y,z+1/2'
'x+1/2,y+1/2,z'
'x+1/2,-y+1/2,z+1/2'
loop_
_atom_site_label
_atom_site_type_symbol
_atom_site_fract_x
_atom_site_fract_y
_atom_site_fract_z
Ba1 Ba 0.000 0.064 0.000
Ba2 Ba 0.007 0.192 0.522
Ba3 Ba 0.493 0.188 0.480
Sr1 Sr 0.489 0.065 0.002
Ni1 Ni 0.247 0.183 0.001
```

---

Theoretical powder diffraction line list of BaSr4Ni for Cu Kα, from a cell relaxed with PBE.
Peak positions follow from Bragg's law for the DFT cell and can differ from measured ones.

Most intense lines, 10° ≤ 2θ ≤ 90°, by angle:
2θ/deg	I (rel.)
23.91	12
25.05	20
27.04	100
34.91	28
42.05	25
45.37	24
49.58	18
50.73	12
67.93	14
79.19	9

```
data_BaSr4Ni
_chemical_formula_sum 'Ba2 Sr8 Ni2'
_symmetry_space_group_name_H-M 'P -1'
_symmetry_Int_Tables_number 2
_cell_length_a 7.446
_cell_length_b 8.304
_cell_length_c 10.292
_cell_angle_alpha 105.51
_cell_angle_beta 111.21
_cell_angle_gamma 90.01
loop_
_symmetry_equiv_pos_as_xyz
'x,y,z'
'-x,-y,-z'
loop_
_atom_site_label
_atom_site_type_symbol
_atom_site_fract_x
_atom_site_fract_y
_atom_site_fract_z
Ba1 Ba 0.090 0.250 0.000
Sr1 Sr 0.129 0.161 0.409
Sr2 Sr 0.280 0.661 0.409
Sr3 Sr 0.305 0.556 0.790
Sr4 Sr 0.485 0.056 0.790
Ni1 Ni 0.000 0.500 0.500
Ni2 Ni 0.500 0.000 0.500
```

---

Theoretical powder diffraction line list of BaSr2TlNi for Cu Kα, from a cell relaxed with PBE.
Peak positions follow from Bragg's law for the DFT cell and can differ from measured ones.

Most intense lines, 10° ≤ 2θ ≤ 90°, by angle:
2θ/deg	I (rel.)
21.46	15
21.67	20
26.45	100
30.24	30
30.83	57
43.73	43
44.16	21
51.45	16
52.21	31
54.45	23

```
data_BaSr2TlNi
_chemical_formula_sum 'Ba1 Sr2 Tl1 Ni1'
_symmetry_space_group_name_H-M 'P 4/m m m'
_symmetry_Int_Tables_number 123
_symmetry_space_group_name_Hall '-P 4 2'
_cell_length_a 5.801
_cell_length_b 5.801
_cell_length_c 5.911
_cell_angle_alpha 90.00
_cell_angle_beta 90.00
_cell_angle_gamma 90.00
loop_
_atom_site_label
_atom_site_type_symbol
_atom_site_fract_x
_atom_site_fract_y
_atom_site_fract_z
Ba1 Ba 0.000 0.000 0.000
Sr1 Sr 0.000 0.500 0.500
Tl1 Tl 0.500 0.500 0.000
Ni1 Ni 0.000 0.000 0.500
```

---

Theoretical powder diffraction line list of Ba2TbNi9 for Cu Kα, from a cell relaxed with PBE.
Peak positions follow from Bragg's law for the DFT cell and can differ from measured ones.

Most intense lines, 10° ≤ 2θ ≤ 90°, by angle:
2θ/deg	I (rel.)
31.45	36
34.22	36
35.30	36
41.13	100
41.58	19
47.58	12
62.66	19
65.64	14
67.33	16
74.67	16

```
data_Ba2TbNi9
_chemical_formula_sum 'Ba6 Tb3 Ni27'
_symmetry_space_group_name_H-M 'R -3 m'
_symmetry_Int_Tables_number 166
_symmetry_space_group_name_Hall '-R 3 2"'
_cell_length_a 5.0848
_cell_length_b 5.0848
_cell_length_c 26.0855
_cell_angle_alpha 90.00
_cell_angle_beta 90.00
_cell_angle_gamma 120.00
loop_
_atom_site_label
_atom_site_type_symbol
_atom_site_fract_x
_atom_site_fract_y
_atom_site_fract_z
Ba1 Ba 0.0000 0.0000 0.1382
Tb1 Tb 0.0000 0.0000 0.0000
Ni1 Ni 0.0000 0.0000 0.3323
Ni2 Ni 0.0000 0.0000 0.5000
Ni3 Ni 0.0038 0.5019 0.0737
```

---

Theoretical powder diffraction line list of BaTcNi for Cu Kα, from a cell relaxed with PBE.
Peak positions follow from Bragg's law for the DFT cell and can differ from measured ones.

Most intense lines, 10° ≤ 2θ ≤ 90°, by angle:
2θ/deg	I (rel.)
25.19	38
30.71	65
33.40	88
37.94	62
38.63	100
49.10	25
50.14	64
59.05	27
61.04	25
63.68	26

```
data_BaTcNi
_chemical_formula_sum 'Ba2 Tc2 Ni2'
_symmetry_space_group_name_H-M 'I m m 2'
_symmetry_Int_Tables_number 44
_cell_length_a 2.995
_cell_length_b 3.711
_cell_length_c 11.646
_cell_angle_alpha 90.00
_cell_angle_beta 90.00
_cell_angle_gamma 90.00
loop_
_symmetry_equiv_pos_as_xyz
'x,y,z'
'-x,-y,z'
'-x,y,z'
'x,-y,z'
'x+1/2,y+1/2,z+1/2'
'-x+1/2,-y+1/2,z+1/2'
'-x+1/2,y+1/2,z+1/2'
'x+1/2,-y+1/2,z+1/2'
loop_
_atom_site_label
_atom_site_type_symbol
_atom_site_fract_x
_atom_site_fract_y
_atom_site_fract_z
Ba1 Ba 0.000 0.000 0.000
Tc1 Tc 0.000 0.000 0.281
Ni1 Ni 0.000 0.000 0.716
```

---

Theoretical powder diffraction line list of BaTl2Ni2 for Cu Kα, from a cell relaxed with PBE.
Peak positions follow from Bragg's law for the DFT cell and can differ from measured ones.

Most intense lines, 10° ≤ 2θ ≤ 90°, by angle:
2θ/deg	I (rel.)
26.18	44
31.19	100
37.36	48
42.98	15
49.44	52
53.87	17
58.38	21
63.57	14
76.12	15
83.45	15

```
data_BaTl2Ni2
_chemical_formula_sum 'Ba2 Tl4 Ni4'
_symmetry_space_group_name_H-M 'I 4/m m m'
_symmetry_Int_Tables_number 139
_symmetry_space_group_name_Hall '-I 4 2'
_cell_length_a 4.814
_cell_length_b 4.814
_cell_length_c 10.710
_cell_angle_alpha 90.00
_cell_angle_beta 90.00
_cell_angle_gamma 90.00
loop_
_atom_site_label
_atom_site_type_symbol
_atom_site_fract_x
_atom_site_fract_y
_atom_site_fract_z
Ba1 Ba 0.000 0.000 0.000
Tl1 Tl 0.000 0.000 0.349
Ni1 Ni 0.000 0.500 0.250
```

---

Theoretical powder diffraction line list of Ba6TlNi2 for Cu Kα, from a cell relaxed with PBE.
Peak positions follow from Bragg's law for the DFT cell and can differ from measured ones.

Most intense lines, 10° ≤ 2θ ≤ 90°, by angle:
2θ/deg	I (rel.)
25.93	27
27.22	100
28.96	44
29.12	28
29.55	20
30.26	27
33.19	17
46.85	16
48.80	15
50.95	30

```
data_Ba6TlNi2
_chemical_formula_sum 'Ba24 Tl4 Ni8'
_symmetry_space_group_name_H-M 'I m m m'
_symmetry_Int_Tables_number 71
_symmetry_space_group_name_Hall '-I 2 2'
_cell_length_a 10.797
_cell_length_b 11.508
_cell_length_c 11.814
_cell_angle_alpha 90.00
_cell_angle_beta 90.00
_cell_angle_gamma 90.00
loop_
_atom_site_label
_atom_site_type_symbol
_atom_site_fract_x
_atom_site_fract_y
_atom_site_fract_z
Ba1 Ba 0.000 0.206 0.221
Ba2 Ba 0.197 0.500 0.176
Ba3 Ba 0.204 0.322 0.500
Tl1 Tl 0.000 0.000 0.000
Tl2 Tl 0.000 0.000 0.500
Ni1 Ni 0.000 0.398 0.000
Ni2 Ni 0.000 0.500 0.400
```